(1)
The following is a computed PXRD pattern of TbAgSnSe3. It was derived from a cell relaxed with PBE, using Cu Kα, 1.54184 Å.
Intensities are scaled so that the largest is 100.

Main lines, by angle (10° ≤ 2θ ≤ 90°):
| 2θ (°) | I/Imax |
| --- | --- |
| 26.8 | 59 |
| 31.6 | 100 |
| 33.5 | 40 |
| 34.2 | 45 |
| 37.4 | 38 |
| 42.5 | 46 |

Structure:
Lattice parameters (Å, degrees): 11.9357 4.2575 12.0114 90.00 90.00 90.00
Sites, in units of the cell vectors:
Tb  0.0216  0.2500  0.1804
Tb  0.4784  0.7500  0.6804
Tb  0.5216  0.2500  0.3196
Tb  0.9784  0.7500  0.8196
Ag  0.2426  0.7500  0.3068
Ag  0.2574  0.2500  0.8068
Ag  0.7426  0.7500  0.1932
Ag  0.7574  0.2500  0.6932
Sn  0.1721  0.2500  0.5082
Sn  0.3279  0.7500  0.0082
Sn  0.6721  0.2500  0.9918
Sn  0.8279  0.7500  0.4918
Se  0.0274  0.7500  0.3580
Se  0.0856  0.2500  0.9353
Se  0.2348  0.7500  0.6686
Se  0.2652  0.2500  0.1686
Se  0.4144  0.7500  0.4353
Se  0.4726  0.2500  0.8580
Se  0.5274  0.7500  0.1420
Se  0.5856  0.2500  0.5647
Se  0.7348  0.7500  0.8314
Se  0.7652  0.2500  0.3314
Se  0.9144  0.7500  0.0647
Se  0.9726  0.2500  0.6420

---

(2)
The following is a computed PXRD pattern of TbTlHgTe3. It was derived from a cell relaxed with PBE, using Cu Kα, 1.54184 Å.
Intensities are scaled so that the largest is 100.

Main lines, by angle (10° ≤ 2θ ≤ 90°):
| 2θ (°) | I/Imax |
| --- | --- |
| 11.6 | 22 |
| 27.6 | 100 |
| 30.6 | 78 |
| 32.4 | 62 |
| 38.8 | 32 |
| 40.4 | 32 |

Structure:
Lattice parameters (Å, degrees): 15.2499 4.4695 11.8842 90.00 90.00 90.00
Sites, in units of the cell vectors:
Tb  0.0255  0.2500  0.1575
Tb  0.4745  0.7500  0.6575
Tb  0.5255  0.2500  0.3425
Tb  0.9745  0.7500  0.8425
Tl  0.2379  0.2500  0.4483
Tl  0.2621  0.7500  0.9483
Tl  0.7379  0.2500  0.0517
Tl  0.7621  0.7500  0.5517
Hg  0.0196  0.7500  0.3928
Hg  0.4804  0.2500  0.8928
Hg  0.5196  0.7500  0.1072
Hg  0.9804  0.2500  0.6072
Te  0.1011  0.2500  0.9204
Te  0.1008  0.7500  0.6246
Te  0.1572  0.7500  0.2324
Te  0.3428  0.2500  0.7324
Te  0.3992  0.2500  0.1246
Te  0.3989  0.7500  0.4204
Te  0.6011  0.2500  0.5796
Te  0.6008  0.7500  0.8754
Te  0.6572  0.7500  0.2676
Te  0.8428  0.2500  0.7676
Te  0.8992  0.2500  0.3754
Te  0.8989  0.7500  0.0796

---

(3)
The following is a computed PXRD pattern of Cs3Ag2Sb3S8. It was derived from a cell relaxed with PBE, using Cu Kα, 1.54184 Å.
Intensities are scaled so that the largest is 100.

Main lines, by angle (10° ≤ 2θ ≤ 90°):
| 2θ (°) | I/Imax |
| --- | --- |
| 21.7 | 60 |
| 22.8 | 90 |
| 24.4 | 59 |
| 25.5 | 84 |
| 27.6 | 71 |
| 31.4 | 100 |

Structure:
Lattice parameters (Å, degrees): 10.7761 7.3907 12.9530 90.00 103.18 90.00
Sites, in units of the cell vectors:
Cs  0.0430  0.2500  0.1562
Cs  0.0772  0.7500  0.4259
Cs  0.3526  0.2500  0.9467
Cs  0.6474  0.7500  0.0533
Cs  0.9228  0.2500  0.5741
Cs  0.9570  0.7500  0.8438
Ag  0.3718  0.0283  0.3984
Ag  0.3718  0.4717  0.3984
Ag  0.6282  0.5283  0.6016
Ag  0.6282  0.9717  0.6016
Sb  0.2717  0.7500  0.1268
Sb  0.3279  0.2500  0.6137
Sb  0.3720  0.7500  0.7111
Sb  0.6280  0.2500  0.2889
Sb  0.6721  0.7500  0.3863
Sb  0.7283  0.2500  0.8732
S  0.0569  0.7500  0.1384
S  0.1943  0.2500  0.4350
S  0.2084  0.0024  0.6861
S  0.2084  0.4976  0.6861
S  0.2968  0.7500  0.9511
S  0.3792  0.0165  0.2055
S  0.3792  0.4835  0.2055
S  0.4101  0.7500  0.5257
S  0.5899  0.2500  0.4743
S  0.6208  0.5165  0.7945
S  0.6208  0.9835  0.7945
S  0.7032  0.2500  0.0489
S  0.7916  0.5024  0.3139
S  0.7916  0.9976  0.3139
S  0.8057  0.7500  0.5650
S  0.9431  0.2500  0.8616